(1)
The following is a theoretical powder X-ray diffraction pattern of Sr3LaCu2HgBiO10. It was derived from a DFT-relaxed cell (GGA-PBE, the Materials Project), using a wavelength of 1.5418 Å.
Peak positions follow from Bragg's law for the DFT cell and can differ from measured ones.

Structure:
Cell: 3.828 7.740 9.581 Å, 66.26 89.79 89.80°
Space group P1 (No. 1)
One atom of each set of equivalent atoms:
Sr 0.000 0.000 0.000 [1 per cell]
Sr 0.001 0.195 0.599 [1 per cell]
Sr 0.999 0.702 0.595 [1 per cell]
La 0.998 0.497 0.000 [1 per cell]
Cu 0.500 0.349 0.795 [1 per cell]
Cu 0.500 0.843 0.810 [1 per cell]
Hg 0.502 0.096 0.305 [1 per cell]
Bi 0.540 0.600 0.302 [1 per cell]
O 0.000 0.352 0.803 [1 per cell]
O 0.493 0.231 0.073 [1 per cell]
O 0.494 0.715 0.051 [1 per cell]
O 0.494 0.967 0.537 [1 per cell]
O 0.496 0.476 0.547 [1 per cell]
O 0.501 0.099 0.796 [1 per cell]
O 0.501 0.587 0.818 [1 per cell]
O 0.964 0.414 0.291 [1 per cell]
O 0.973 0.783 0.297 [1 per cell]
O 0.999 0.835 0.812 [1 per cell]

Largest 10 diffraction maxima, low angle first, 2θ = 10–90°:
2theta, I_rel
25.15, 37.1
25.38, 34.1
30.81, 100.0
31.01, 94.7
32.85, 64.2
32.97, 63.9
45.50, 36.5
46.96, 28.7
47.50, 28.3
57.63, 27.2

=====

(2)
The following is a theoretical powder X-ray diffraction pattern of Sr3LaCu2HgBiO10. It was derived from a DFT-relaxed cell (GGA-PBE, the Materials Project), using a wavelength of 1.5418 Å.
Peak positions follow from Bragg's law for the DFT cell and can differ from measured ones.

Structure:
Cell: 5.296 5.302 18.050 Å, 90.00 90.00 90.00°
Space group Imm2 (No. 44)
One atom of each set of equivalent atoms:
Sr 0.000 0.000 0.000 [2 per cell]
Sr 0.000 0.000 0.207 [2 per cell]
Sr 0.000 0.000 0.498 [2 per cell]
La 0.000 0.000 0.702 [2 per cell]
Cu 0.000 0.500 0.099 [2 per cell]
Cu 0.000 0.500 0.601 [2 per cell]
Hg 0.000 0.500 0.354 [2 per cell]
Bi 0.000 0.500 0.854 [2 per cell]
O 0.000 0.000 0.353 [2 per cell]
O 0.000 0.000 0.848 [2 per cell]
O 0.000 0.500 0.235 [2 per cell]
O 0.000 0.500 0.472 [2 per cell]
O 0.000 0.500 0.731 [2 per cell]
O 0.000 0.500 0.976 [2 per cell]
O 0.246 0.246 0.607 [8 per cell]

Largest 10 diffraction maxima, low angle first, 2θ = 10–90°:
2theta, I_rel
25.74, 32.3
31.02, 100.0
33.83, 62.9
39.96, 15.6
45.62, 24.5
48.59, 28.4
53.33, 19.5
56.60, 13.1
58.78, 34.3
64.67, 13.9

=====

(3)
The following is a theoretical powder X-ray diffraction pattern of K2CuBiI6. It was derived from a DFT-relaxed cell (GGA-PBE, the Materials Project), using a wavelength of 1.5418 Å.
Peak positions follow from Bragg's law for the DFT cell and can differ from measured ones.

Structure:
Cell: 11.861 11.861 11.861 Å, 90.00 90.00 90.00°
Space group Fm-3m (No. 225)
One atom of each set of equivalent atoms:
K 0.250 0.250 0.250 [8 per cell]
Cu 0.000 0.000 0.000 [4 per cell]
Bi 0.000 0.000 0.500 [4 per cell]
I 0.000 0.000 0.239 [24 per cell]

Largest 10 diffraction maxima, low angle first, 2θ = 10–90°:
2theta, I_rel
14.94, 85.6
26.02, 49.7
30.14, 100.0
33.80, 46.7
43.15, 72.7
45.91, 25.1
51.08, 20.2
53.53, 25.0
71.09, 30.9
79.11, 22.7

=====

(4)
The following is a theoretical powder X-ray diffraction pattern of Rb2CuBiI6. It was derived from a DFT-relaxed cell (GGA-PBE, the Materials Project), using a wavelength of 1.5418 Å.
Peak positions follow from Bragg's law for the DFT cell and can differ from measured ones.

Structure:
Cell: 11.891 11.891 11.891 Å, 90.00 90.00 90.00°
Space group Fm-3m (No. 225)
One atom of each set of equivalent atoms:
Rb 0.250 0.250 0.250 [8 per cell]
Cu 0.000 0.000 0.000 [4 per cell]
Bi 0.000 0.000 0.500 [4 per cell]
I 0.000 0.000 0.239 [24 per cell]

Largest 10 diffraction maxima, low angle first, 2θ = 10–90°:
2theta, I_rel
14.90, 46.7
21.13, 13.4
25.96, 57.3
30.06, 100.0
33.71, 24.9
43.03, 73.2
50.94, 24.2
53.38, 25.4
70.88, 31.6
78.87, 23.3

=====

(5)
The following is a theoretical powder X-ray diffraction pattern of Cu15Bi4Se16I4. It was derived from a DFT-relaxed cell (GGA-PBE, the Materials Project), using a wavelength of 1.5418 Å.
Peak positions follow from Bragg's law for the DFT cell and can differ from measured ones.

Structure:
Cell: 9.683 4.088 23.065 Å, 90.00 90.60 90.00°
Space group Pm (No. 6)
One atom of each set of equivalent atoms:
Cu 0.000 0.000 0.000 [1 per cell]
Cu 0.011 0.000 0.259 [1 per cell]
Cu 0.113 0.000 0.442 [1 per cell]
Cu 0.130 0.000 0.831 [1 per cell]
Cu 0.328 0.500 0.331 [1 per cell]
Cu 0.340 0.500 0.944 [1 per cell]
Cu 0.441 0.500 0.766 [1 per cell]
Cu 0.456 0.500 0.497 [1 per cell]
Cu 0.504 0.000 0.977 [1 per cell]
Cu 0.519 0.000 0.706 [1 per cell]
Cu 0.621 0.000 0.529 [1 per cell]
Cu 0.633 0.000 0.145 [1 per cell]
Cu 0.831 0.500 0.641 [1 per cell]
Cu 0.848 0.500 0.032 [1 per cell]
Cu 0.957 0.500 0.473 [1 per cell]
Bi 0.198 0.000 0.613 [1 per cell]
Bi 0.255 0.500 0.116 [1 per cell]
Bi 0.700 0.000 0.357 [1 per cell]
Bi 0.762 0.500 0.860 [1 per cell]
Se 0.016 0.500 0.577 [1 per cell]
Se 0.040 0.000 0.157 [1 per cell]
Se 0.114 0.500 0.387 [1 per cell]
Se 0.139 0.500 0.006 [1 per cell]
Se 0.314 0.000 0.505 [1 per cell]
Se 0.339 0.000 0.892 [1 per cell]
Se 0.437 0.500 0.658 [1 per cell]
Se 0.444 0.000 0.078 [1 per cell]
Se 0.519 0.500 0.395 [1 per cell]
Se 0.522 0.000 0.815 [1 per cell]
Se 0.622 0.500 0.581 [1 per cell]
Se 0.647 0.500 0.968 [1 per cell]
Se 0.818 0.000 0.466 [1 per cell]
Se 0.846 0.000 0.087 [1 per cell]
Se 0.936 0.500 0.308 [1 per cell]
Se 0.944 0.000 0.896 [1 per cell]
I 0.164 0.500 0.761 [1 per cell]
I 0.292 0.000 0.261 [1 per cell]
I 0.660 0.500 0.215 [1 per cell]
I 0.796 0.000 0.711 [1 per cell]

Largest 10 diffraction maxima, low angle first, 2θ = 10–90°:
2theta, I_rel
26.35, 95.6
26.84, 29.3
27.91, 29.5
28.84, 100.0
30.58, 40.2
30.71, 31.3
44.31, 61.4
47.59, 30.8
48.02, 32.4
48.81, 46.0

=====

(6)
The following is a theoretical powder X-ray diffraction pattern of CuBi12Ir3. It was derived from a DFT-relaxed cell (GGA-PBE, the Materials Project), using a wavelength of 1.5418 Å.
Peak positions follow from Bragg's law for the DFT cell and can differ from measured ones.

Structure:
Cell: 9.127 4.242 11.685 Å, 90.00 90.27 90.00°
Space group Pm (No. 6)
One atom of each set of equivalent atoms:
Cu 0.000 0.000 0.000 [1 per cell]
Bi 0.015 0.500 0.573 [1 per cell]
Bi 0.100 0.500 0.863 [1 per cell]
Bi 0.200 0.000 0.364 [1 per cell]
Bi 0.297 0.000 0.068 [1 per cell]
Bi 0.311 0.000 0.657 [1 per cell]
Bi 0.497 0.500 0.297 [1 per cell]
Bi 0.522 0.500 0.887 [1 per cell]
Bi 0.611 0.500 0.588 [1 per cell]
Bi 0.692 0.000 0.090 [1 per cell]
Bi 0.796 0.000 0.380 [1 per cell]
Bi 0.803 0.000 0.796 [1 per cell]
Bi 0.994 0.500 0.159 [1 per cell]
Ir 0.305 0.500 0.499 [1 per cell]
Ir 0.504 0.000 0.456 [1 per cell]
Ir 0.817 0.500 0.960 [1 per cell]

Largest 10 diffraction maxima, low angle first, 2θ = 10–90°:
2theta, I_rel
12.31, 48.8
27.77, 38.9
28.73, 64.2
31.17, 100.0
32.67, 50.4
33.14, 48.2
33.27, 37.0
37.13, 28.4
42.40, 31.6
42.59, 84.0

=====

(7)
The following is a theoretical powder X-ray diffraction pattern of Sr7LaCu4Bi8O24. It was derived from a DFT-relaxed cell (GGA-PBE, the Materials Project), using a wavelength of 1.5418 Å.
Peak positions follow from Bragg's law for the DFT cell and can differ from measured ones.

Structure:
Cell: 9.455 10.070 10.114 Å, 63.12 64.93 64.39°
Space group P1 (No. 1)
One atom of each set of equivalent atoms:
Sr 0.000 0.000 0.000 [1 per cell]
Sr 0.052 0.156 0.511 [1 per cell]
Sr 0.337 0.785 0.761 [1 per cell]
Sr 0.491 0.509 0.532 [1 per cell]
Sr 0.584 0.670 0.016 [1 per cell]
Sr 0.765 0.274 0.299 [1 per cell]
Sr 0.821 0.496 0.650 [1 per cell]
La 0.461 0.951 0.291 [1 per cell]
Cu 0.097 0.884 0.301 [1 per cell]
Cu 0.358 0.035 0.983 [1 per cell]
Cu 0.418 0.234 0.358 [1 per cell]
Cu 0.985 0.696 0.955 [1 per cell]
Bi 0.026 0.773 0.621 [1 per cell]
Bi 0.171 0.376 0.044 [1 per cell]
Bi 0.226 0.575 0.261 [1 per cell]
Bi 0.257 0.276 0.699 [1 per cell]
Bi 0.612 0.312 0.009 [1 per cell]
Bi 0.643 0.953 0.558 [1 per cell]
Bi 0.745 0.023 0.832 [1 per cell]
Bi 0.796 0.662 0.282 [1 per cell]
O 0.008 0.794 0.243 [1 per cell]
O 0.025 0.932 0.769 [1 per cell]
O 0.171 0.498 0.526 [1 per cell]
O 0.183 0.610 0.007 [1 per cell]
O 0.194 0.936 0.388 [1 per cell]
O 0.203 0.352 0.301 [1 per cell]
O 0.270 0.432 0.789 [1 per cell]
O 0.340 0.901 0.922 [1 per cell]
O 0.341 0.055 0.512 [1 per cell]
O 0.386 0.161 0.055 [1 per cell]
O 0.505 0.244 0.566 [1 per cell]
O 0.510 0.412 0.213 [1 per cell]
O 0.565 0.683 0.259 [1 per cell]
O 0.566 0.547 0.854 [1 per cell]
O 0.598 0.730 0.493 [1 per cell]
O 0.650 0.082 0.318 [1 per cell]
O 0.733 0.935 0.077 [1 per cell]
O 0.803 0.415 0.441 [1 per cell]
O 0.818 0.222 0.809 [1 per cell]
O 0.825 0.753 0.859 [1 per cell]
O 0.831 0.371 0.997 [1 per cell]
O 0.850 0.025 0.539 [1 per cell]
O 0.851 0.741 0.567 [1 per cell]
O 0.977 0.239 0.045 [1 per cell]

Largest 10 diffraction maxima, low angle first, 2θ = 10–90°:
2theta, I_rel
12.54, 75.6
26.73, 50.7
26.98, 64.3
27.50, 89.0
27.67, 62.4
28.50, 56.4
29.54, 100.0
29.73, 46.9
31.32, 50.2
32.61, 68.9

=====

(8)
The following is a theoretical powder X-ray diffraction pattern of Sr2LaCu2Bi2O8. It was derived from a DFT-relaxed cell (GGA-PBE, the Materials Project), using a wavelength of 1.5418 Å.
Peak positions follow from Bragg's law for the DFT cell and can differ from measured ones.

Structure:
Cell: 5.610 30.935 5.404 Å, 90.00 90.00 90.00°
Space group Cccm (No. 66)
One atom of each set of equivalent atoms:
Sr 0.249 0.137 0.000 [8 per cell]
La 0.250 0.250 0.000 [4 per cell]
Cu 0.249 0.194 0.500 [8 per cell]
Bi 0.224 0.453 0.500 [8 per cell]
O 0.000 0.197 0.250 [8 per cell]
O 0.000 0.303 0.250 [8 per cell]
O 0.161 0.451 0.000 [8 per cell]
O 0.240 0.114 0.500 [8 per cell]

Largest 10 diffraction maxima, low angle first, 2θ = 10–90°:
2theta, I_rel
24.45, 41.7
27.07, 49.6
30.61, 100.0
31.90, 43.2
33.16, 43.0
34.81, 27.6
44.52, 18.6
46.68, 39.7
55.78, 27.1
56.04, 19.1

=====

(9)
The following is a theoretical powder X-ray diffraction pattern of La2CuBiS5. It was derived from a DFT-relaxed cell (GGA-PBE, the Materials Project), using a wavelength of 1.5418 Å.
Peak positions follow from Bragg's law for the DFT cell and can differ from measured ones.

Structure:
Cell: 12.015 4.004 17.078 Å, 90.00 90.00 90.00°
Space group Pnma (No. 62)
One atom of each set of equivalent atoms:
La 0.032 0.250 0.174 [4 per cell]
La 0.126 0.750 0.598 [4 per cell]
Cu 0.098 0.750 0.997 [4 per cell]
Bi 0.200 0.750 0.363 [4 per cell]
S 0.012 0.250 0.702 [4 per cell]
S 0.085 0.250 0.927 [4 per cell]
S 0.107 0.250 0.469 [4 per cell]
S 0.191 0.750 0.113 [4 per cell]
S 0.234 0.750 0.766 [4 per cell]

Largest 10 diffraction maxima, low angle first, 2θ = 10–90°:
2theta, I_rel
20.81, 44.5
22.81, 45.9
24.00, 42.5
24.55, 49.5
27.19, 71.7
27.27, 49.2
28.24, 82.1
31.52, 86.7
37.72, 53.8
45.29, 100.0

=====

(10)
The following is a theoretical powder X-ray diffraction pattern of Li2CuBiO4. It was derived from a DFT-relaxed cell (GGA-PBE, the Materials Project), using a wavelength of 1.5418 Å.
Peak positions follow from Bragg's law for the DFT cell and can differ from measured ones.

Structure:
Cell: 4.351 4.351 9.344 Å, 90.00 90.00 90.00°
Space group I-4m2 (No. 119)
One atom of each set of equivalent atoms:
Li 0.000 0.000 0.000 [2 per cell]
Li 0.000 0.500 0.250 [2 per cell]
Cu 0.000 0.500 0.750 [2 per cell]
Bi 0.000 0.000 0.500 [2 per cell]
O 0.000 0.000 0.262 [4 per cell]
O 0.000 0.500 0.502 [4 per cell]

Largest 10 diffraction maxima, low angle first, 2θ = 10–90°:
2theta, I_rel
19.00, 14.9
22.54, 100.0
34.92, 35.6
35.45, 29.5
38.54, 17.2
41.51, 27.9
47.75, 28.3
53.36, 11.0
55.70, 16.7
57.93, 19.8